Computed XRD peak list of MnRuNO for copper Kα, from DFT lattice parameters and positions (GGA+U).

Largest 8 diffraction maxima, low angle first, 2θ from 5° to 70°:
- 31.95 deg, I 1000
- 37.20 deg, I 969
- 38.98 deg, I 917
- 42.67 deg, I 469
- 48.79 deg, I 307
- 59.16 deg, I 510
- 62.91 deg, I 390
- 66.79 deg, I 220

```
data_MnRuNO
_chemical_formula_sum 'Mn1 Ru1 N1 O1'
_cell_length_a 2.942
_cell_length_b 4.238
_cell_length_c 3.733
_cell_angle_alpha 90.00
_cell_angle_beta 90.00
_cell_angle_gamma 90.00
_symmetry_space_group_name_H-M 'P m m 2'
_symmetry_Int_Tables_number 25
loop_
_symmetry_equiv_pos_as_xyz
'x,y,z'
'-x,-y,z'
'-x,y,z'
'x,-y,z'
loop_
_atom_site_label
_atom_site_type_symbol
_atom_site_fract_x
_atom_site_fract_y
_atom_site_fract_z
Mn1 Mn 0.000 0.000 0.000
Ru1 Ru 0.500 0.500 0.502
N1 N 0.500 0.500 0.002
O1 O 0.500 0.000 0.506
```